(1)
Theoretical PXRD pattern of Er6FeBi2 for Cu Kα (weighted mean of Kα1 and Kα2), from a DFT-relaxed cell (PBE, the Materials Project).
Lines closer than 0.1° are merged.

Atomic structure:
a b c (Å): 8.244 8.244 4.134
angles (deg): 90.00 90.00 120.00
Atoms (fractional coordinates):
Er  0.000  0.228  0.000
Er  0.000  0.610  0.500
Er  0.228  0.000  0.000
Er  0.390  0.390  0.500
Er  0.610  0.000  0.500
Er  0.772  0.772  0.000
Fe  0.000  0.000  0.500
Bi  0.333  0.667  0.000
Bi  0.667  0.333  0.000

Principal peaks in the range 10 to 80 degrees two-theta, low angle first:
30.63 deg, intensity 91.7
33.18 deg, intensity 100.0
37.80 deg, intensity 28.2
39.90 deg, intensity 32.1
56.05 deg, intensity 26.5
63.84 deg, intensity 24.6

***

(2)
Theoretical PXRD pattern of Nb4Co2C for Cu Kα (weighted mean of Kα1 and Kα2), from a DFT-relaxed cell (PBE, the Materials Project).
Lines closer than 0.1° are merged.

Atomic structure:
a b c (Å): 8.264 8.264 8.264
angles (deg): 60.00 60.00 60.00
Atoms (fractional coordinates):
Nb  0.000  0.000  0.000
Nb  0.000  0.000  0.500
Nb  0.000  0.500  0.000
Nb  0.188  0.188  0.562
Nb  0.188  0.562  0.188
Nb  0.188  0.562  0.562
Nb  0.438  0.438  0.812
Nb  0.438  0.812  0.438
Nb  0.438  0.812  0.812
Nb  0.500  0.000  0.000
Nb  0.562  0.188  0.188
Nb  0.562  0.188  0.562
Nb  0.562  0.562  0.188
Nb  0.812  0.438  0.438
Nb  0.812  0.438  0.812
Nb  0.812  0.812  0.438
Co  0.115  0.795  0.795
Co  0.205  0.205  0.205
Co  0.205  0.205  0.885
Co  0.205  0.885  0.205
Co  0.795  0.115  0.795
Co  0.795  0.795  0.115
Co  0.795  0.795  0.795
Co  0.885  0.205  0.205
C  0.000  0.500  0.500
C  0.500  0.000  0.500
C  0.500  0.500  0.000
C  0.500  0.500  0.500

Principal peaks in the range 10 to 80 degrees two-theta, low angle first:
33.42 deg, intensity 24.4
37.71 deg, intensity 39.8
40.09 deg, intensity 100.0
43.82 deg, intensity 27.9
68.07 deg, intensity 36.8
69.67 deg, intensity 9.8

***

(3)
Theoretical PXRD pattern of SmFe11Mo for Cu Kα (weighted mean of Kα1 and Kα2), from a DFT-relaxed cell (PBE, the Materials Project).
Lines closer than 0.1° are merged.

Atomic structure:
a b c (Å): 6.477 6.477 4.695
angles (deg): 111.18 111.18 82.27
Atoms (fractional coordinates):
Sm  0.000  0.000  0.000
Fe  0.004  0.506  0.506
Fe  0.005  0.506  0.005
Fe  0.233  0.783  0.508
Fe  0.236  0.236  0.736
Fe  0.366  0.648  0.007
Fe  0.506  0.004  0.506
Fe  0.506  0.005  0.005
Fe  0.647  0.647  0.647
Fe  0.648  0.366  0.007
Fe  0.775  0.775  0.275
Fe  0.783  0.233  0.508
Mo  0.373  0.373  0.373

Principal peaks in the range 10 to 80 degrees two-theta, low angle first:
30.16 deg, intensity 42.3
36.99 deg, intensity 36.3
42.23 deg, intensity 33.9
42.43 deg, intensity 42.6
42.74 deg, intensity 100.0
44.02 deg, intensity 93.7

***

(4)
Theoretical PXRD pattern of La4Os for Cu Kα (weighted mean of Kα1 and Kα2), from a DFT-relaxed cell (PBE, the Materials Project).
Lines closer than 0.1° are merged.

Atomic structure:
a b c (Å): 8.107 8.107 8.107
angles (deg): 60.00 60.00 60.00
Atoms (fractional coordinates):
La  0.223  0.759  0.759
La  0.241  0.241  0.241
La  0.241  0.241  0.777
La  0.241  0.777  0.241
La  0.759  0.223  0.759
La  0.759  0.759  0.223
La  0.759  0.759  0.759
La  0.777  0.241  0.241
Os  0.375  0.375  0.375
Os  0.625  0.625  0.625

Principal peaks in the range 10 to 80 degrees two-theta, low angle first:
21.93 deg, intensity 31.6
26.94 deg, intensity 100.0
31.21 deg, intensity 21.5
34.09 deg, intensity 23.8
44.72 deg, intensity 65.9
52.98 deg, intensity 41.5

***

(5)
Theoretical PXRD pattern of ZrF4 for Cu Kα (weighted mean of Kα1 and Kα2), from a DFT-relaxed cell (PBE, the Materials Project).
Lines closer than 0.1° are merged.

Atomic structure:
a b c (Å): 8.043 8.043 7.852
angles (deg): 90.00 90.00 90.00
Atoms (fractional coordinates):
Zr  0.180  0.317  0.230
Zr  0.180  0.317  0.770
Zr  0.317  0.820  0.270
Zr  0.317  0.820  0.730
Zr  0.683  0.180  0.270
Zr  0.683  0.180  0.730
Zr  0.820  0.683  0.230
Zr  0.820  0.683  0.770
F  0.000  0.500  0.297
F  0.000  0.500  0.703
F  0.060  0.789  0.195
F  0.060  0.789  0.805
F  0.165  0.460  0.000
F  0.173  0.793  0.500
F  0.194  0.318  0.500
F  0.207  0.173  0.000
F  0.211  0.060  0.305
F  0.211  0.060  0.695
F  0.297  0.564  0.286
F  0.297  0.564  0.714
F  0.318  0.806  0.000
F  0.436  0.297  0.214
F  0.436  0.297  0.786
F  0.460  0.835  0.500
F  0.500  0.000  0.203
F  0.500  0.000  0.797
F  0.540  0.165  0.500
F  0.564  0.703  0.214
F  0.564  0.703  0.786
F  0.682  0.194  0.000
F  0.703  0.436  0.286
F  0.703  0.436  0.714
F  0.789  0.940  0.305
F  0.789  0.940  0.695
F  0.793  0.827  0.000
F  0.806  0.682  0.500
F  0.827  0.207  0.500
F  0.835  0.540  0.000
F  0.940  0.211  0.195
F  0.940  0.211  0.805

Principal peaks in the range 10 to 80 degrees two-theta, low angle first:
22.10 deg, intensity 74.6
22.65 deg, intensity 84.1
24.75 deg, intensity 100.0
33.80 deg, intensity 48.4
46.56 deg, intensity 57.6
52.37 deg, intensity 56.5

***

(6)
Theoretical PXRD pattern of Na2Ta3S6 for Cu Kα (weighted mean of Kα1 and Kα2), from a DFT-relaxed cell (PBE, the Materials Project).
Lines closer than 0.1° are merged.

Atomic structure:
a b c (Å): 14.902 14.902 14.902
angles (deg): 22.63 22.63 22.63
Atoms (fractional coordinates):
Na  0.083  0.083  0.083
Na  0.417  0.417  0.417
Na  0.583  0.583  0.583
Na  0.917  0.917  0.917
Ta  0.000  0.000  0.000
Ta  0.166  0.500  0.834
Ta  0.333  0.333  0.333
Ta  0.500  0.834  0.166
Ta  0.667  0.667  0.667
Ta  0.834  0.166  0.500
S  0.034  0.703  0.371
S  0.130  0.798  0.465
S  0.202  0.870  0.535
S  0.297  0.966  0.629
S  0.371  0.034  0.703
S  0.465  0.130  0.798
S  0.535  0.202  0.870
S  0.629  0.297  0.966
S  0.703  0.371  0.034
S  0.798  0.465  0.130
S  0.870  0.535  0.202
S  0.966  0.629  0.297

Principal peaks in the range 10 to 80 degrees two-theta, low angle first:
12.20 deg, intensity 100.0
31.21 deg, intensity 50.3
35.89 deg, intensity 34.8
39.59 deg, intensity 27.1
43.95 deg, intensity 19.8
54.35 deg, intensity 14.5

***

What did the first record say?
Theoretical PXRD pattern of Er6FeBi2 for Cu Kα (weighted mean of Kα1 and Kα2), from a DFT-relaxed cell (PBE, the Materials Project).
Lines closer than 0.1° are merged.

Atomic structure:
a b c (Å): 8.244 8.244 4.134
angles (deg): 90.00 90.00 120.00
Atoms (fractional coordinates):
Er  0.000  0.228  0.000
Er  0.000  0.610  0.500
Er  0.228  0.000  0.000
Er  0.390  0.390  0.500
Er  0.610  0.000  0.500
Er  0.772  0.772  0.000
Fe  0.000  0.000  0.500
Bi  0.333  0.667  0.000
Bi  0.667  0.333  0.000

Principal peaks in the range 10 to 80 degrees two-theta, low angle first:
30.63 deg, intensity 91.7
33.18 deg, intensity 100.0
37.80 deg, intensity 28.2
39.90 deg, intensity 32.1
56.05 deg, intensity 26.5
63.84 deg, intensity 24.6